For BaTbMoO6, a DFT-relaxed cell (PBE+U, Alexandria) gives the computed PXRD pattern in this record (a wavelength of 1.5418 Å).
Peak positions follow from Bragg's law for the DFT cell and can differ from measured ones.

The 10 most intense peaks (10° ≤ 2θ ≤ 90°), in order of rising 2θ:
- (0 0 1), 15.80°, 5.609 Å, I 44
- (0 2 1), 23.77°, 3.743 Å, I 87
- (1 1 -1), 23.88°, 3.726 Å, I 100
- (1 1 1), 24.51°, 3.632 Å, I 97
- (1 3 0), 31.15°, 2.871 Å, I 80
- (0 0 2), 31.91°, 2.804 Å, I 29
- (2 0 0), 32.15°, 2.784 Å, I 36
- (0 4 1), 39.28°, 2.294 Å, I 28
- (1 3 -2), 44.83°, 2.022 Å, I 51
- (1 3 2), 45.56°, 1.991 Å, I 33

```
data_BaTbMoO6
_space_group_name_H-M_alt 'C 1 2 1'
_space_group_IT_number 5
_cell_length_a 5.571
_cell_length_b 10.054
_cell_length_c 5.611
_cell_angle_alpha 90.00
_cell_angle_beta 91.68
_cell_angle_gamma 90.00
loop_
_space_group_symop_operation_xyz
'x,y,z'
'-x,y,-z'
'x+1/2,y+1/2,z'
'-x+1/2,y+1/2,-z'
loop_
_atom_site_label
_atom_site_type_symbol
_atom_site_fract_x
_atom_site_fract_y
_atom_site_fract_z
Ba1 Ba 0.000 0.000 0.000
Tb1 Tb 0.000 0.332 0.500
Mo1 Mo 0.000 0.654 0.500
O1 O 0.127 0.519 0.307
O2 O 0.159 0.798 0.298
O3 O 0.223 0.185 0.295
```